Starting from DFT lattice parameters and positions (PBE), the powder diffractogram of Ce2Cu7 was simulated for a wavelength of 1.5418 Å.
No peak broadening, texture or thermal motion is included.

Cell and atoms:
```
data_Ce2Cu7
_chemical_formula_sum 'Ce12 Cu42'
_space_group_name_H-M_alt 'R -3 m'
_space_group_IT_number 166
_space_group_name_Hall '-R 3 2"'
_cell_length_a 5.1424
_cell_length_b 5.1424
_cell_length_c 37.7900
_cell_angle_alpha 90.00
_cell_angle_beta 90.00
_cell_angle_gamma 120.00
loop_
_atom_site_label
_atom_site_fract_x
_atom_site_fract_y
_atom_site_fract_z
Ce1 0.0000 0.0000 0.0525
Ce2 0.0000 0.0000 0.1525
Cu1 0.0000 0.0000 0.2787
Cu2 0.0000 0.0000 0.3872
Cu3 0.0000 0.0000 0.5000
Cu4 0.0000 0.5000 0.0000
Cu5 0.0021 0.5010 0.1086
```

Peak list (10 most intense, 2θ = 15–90°, in order of rising 2θ)
h k l  d [Å]  I/Imax
1 0 10  2.881  30.8
0 1 11  2.720  16.8
1 1 0  2.571  37.0
0 2 1  2.223  28.6
1 1 9  2.193  100.0
0 0 18  2.099  20.2
0 2 19  1.484  17.4
0 3 9  1.400  22.5
2 2 0  1.286  18.7
2 2 18  1.096  13.4



Starting from DFT lattice parameters and positions (PBE), the powder diffractogram of CeDyCu4 was simulated for a wavelength of 1.5418 Å.
No peak broadening, texture or thermal motion is included.

Cell and atoms:
```
data_CeDyCu4
_chemical_formula_sum 'Ce2 Dy2 Cu8'
_space_group_name_H-M_alt 'I m m 2'
_space_group_IT_number 44
_cell_length_a 4.321
_cell_length_b 6.832
_cell_length_c 7.405
_cell_angle_alpha 90.00
_cell_angle_beta 90.00
_cell_angle_gamma 90.00
loop_
_space_group_symop_operation_xyz
'x,y,z'
'-x,-y,z'
'-x,y,z'
'x,-y,z'
'x+1/2,y+1/2,z+1/2'
'-x+1/2,-y+1/2,z+1/2'
'-x+1/2,y+1/2,z+1/2'
'x+1/2,-y+1/2,z+1/2'
loop_
_atom_site_label
_atom_site_fract_x
_atom_site_fract_y
_atom_site_fract_z
Ce1 0.000 0.000 0.000
Dy1 0.000 0.500 0.923
Cu1 0.000 0.202 0.625
Cu2 0.000 0.298 0.294
```

Peak list (10 most intense, 2θ = 15–90°, in order of rising 2θ)
h k l  d [Å]  I/Imax
1 0 1  3.732  18.7
1 1 2  2.600  29.7
1 2 1  2.520  100.0
0 2 2  2.511  42.2
0 3 1  2.177  13.3
2 0 0  2.160  32.0
1 0 3  2.143  47.2
2 2 2  1.638  22.5
1 3 4  1.363  15.5
3 2 1  1.306  12.2



Starting from DFT lattice parameters and positions (PBE), the powder diffractogram of Sr2CeEuCu2RuO10 was simulated for a wavelength of 1.5418 Å.
No peak broadening, texture or thermal motion is included.

Cell and atoms:
```
data_Sr2CeEuCu2RuO10
_chemical_formula_sum 'Sr4 Ce2 Eu2 Cu4 Ru2 O20'
_space_group_name_H-M_alt 'C 1 m 1'
_space_group_IT_number 8
_cell_length_a 5.504
_cell_length_b 5.504
_cell_length_c 14.726
_cell_angle_alpha 90.00
_cell_angle_beta 100.77
_cell_angle_gamma 90.00
loop_
_space_group_symop_operation_xyz
'x,y,z'
'x,-y,z'
'x+1/2,y+1/2,z'
'x+1/2,-y+1/2,z'
loop_
_atom_site_label
_atom_site_fract_x
_atom_site_fract_y
_atom_site_fract_z
Sr1 0.000 0.000 0.000
Sr2 0.155 0.000 0.311
Ce1 0.369 0.500 0.739
Eu1 0.280 0.000 0.561
Cu1 0.219 0.500 0.439
Cu2 0.432 0.000 0.865
Ru1 0.075 0.500 0.150
O1 0.005 0.500 0.014
O2 0.077 0.250 0.657
O3 0.140 0.500 0.284
O4 0.175 0.250 0.851
O5 0.323 0.250 0.147
O6 0.473 0.250 0.446
```

Peak list (10 most intense, 2θ = 15–90°, in order of rising 2θ)
h k l  d [Å]  I/Imax
1 1 1  3.609  15.9
1 1 3  2.834  100.0
0 2 0  2.752  40.8
0 0 7  2.067  11.0
2 0 4  1.994  9.3
2 2 -1  1.946  29.4
2 0 6  1.653  15.3
3 1 2  1.604  36.0
2 2 6  1.417  12.2
0 4 0  1.376  8.7



Starting from DFT lattice parameters and positions (PBE), the powder diffractogram of CeCu4F12 was simulated for a wavelength of 1.5418 Å.
No peak broadening, texture or thermal motion is included.

Cell and atoms:
```
data_CeCu4F12
_chemical_formula_sum 'Ce2 Cu8 F24'
_space_group_name_H-M_alt 'I m m m'
_space_group_IT_number 71
_space_group_name_Hall '-I 2 2'
_cell_length_a 7.485
_cell_length_b 8.122
_cell_length_c 8.137
_cell_angle_alpha 90.00
_cell_angle_beta 90.00
_cell_angle_gamma 90.00
loop_
_atom_site_label
_atom_site_fract_x
_atom_site_fract_y
_atom_site_fract_z
Ce1 0.000 0.000 0.000
Cu1 0.250 0.250 0.250
F1 0.000 0.282 0.281
F2 0.191 0.000 0.226
F3 0.191 0.226 0.000
```

Peak list (10 most intense, 2θ = 15–90°, in order of rising 2θ)
h k l  d [Å]  I/Imax
0 1 1  5.748  62.4
1 0 1  5.507  100.0
0 0 2  4.065  44.8
1 1 2  3.270  38.4
0 2 2  2.874  44.5
2 2 0  2.753  83.5
3 1 2  2.057  26.5
0 0 4  2.032  54.1
2 4 2  1.635  41.0
4 2 2  1.568  26.5